This entry pairs a crystal structure of BaCu2SnS4 with its theoretical XRD peak list. Radiation: Cu Kα (weighted mean of Kα1 and Kα2). Structure: DFT lattice parameters and positions (GGA-PBE).
Lines closer than 0.1° are merged.

Top 12 peaks for 10° ≤ 2θ ≤ 90°, in order of falling intensity:
2θ (°)  d (Å)  I/Imax
27.68  3.223  100
39.55  2.279  22
48.99  1.860  19
36.46  2.464  17
48.84  1.865  17
52.15  1.754  12
23.21  3.832  12
32.53  2.753  11
19.48  4.558  11
49.39  1.845  11
32.12  2.787  9
15.90  5.574  9

```
data_BaCu2SnS4
_chemical_formula_sum 'Ba3 Cu6 Sn3 S12'
_symmetry_space_group_name_H-M 'P 31 2 1'
_symmetry_Int_Tables_number 152
_symmetry_space_group_name_Hall 'P 31 2"'
_cell_length_a 6.4365
_cell_length_b 6.4365
_cell_length_c 15.8310
_cell_angle_alpha 90.00
_cell_angle_beta 90.00
_cell_angle_gamma 120.00
loop_
_atom_site_label
_atom_site_fract_x
_atom_site_fract_y
_atom_site_fract_z
Ba1 0.0000 0.5736 0.1667
Cu1 0.0641 0.6302 0.4119
Sn1 0.0000 0.7050 0.6667
S1 0.0604 0.5009 0.7869
S2 0.1133 0.3481 0.3308
```

=====

This entry pairs a crystal structure of BaCu6Te6S with its theoretical XRD peak list. Radiation: Cu Kα (weighted mean of Kα1 and Kα2). Structure: DFT lattice parameters and positions (GGA-PBE).
Lines closer than 0.1° are merged.

Top 12 peaks for 10° ≤ 2θ ≤ 90°, in order of falling intensity:
2θ (°)  d (Å)  I/Imax
28.51  3.131  100
28.70  3.110  65
31.41  2.848  38
46.78  1.942  29
49.00  1.859  24
28.88  3.091  23
47.15  1.927  20
48.76  1.868  16
49.23  1.851  15
48.44  1.879  15
48.92  1.862  15
45.27  2.003  14

```
data_BaCu6Te6S
_chemical_formula_sum 'Ba1 Cu6 Te6 S1'
_symmetry_space_group_name_H-M 'P 1 2 1'
_symmetry_Int_Tables_number 3
_symmetry_space_group_name_Hall 'P 2y'
_cell_length_a 6.931
_cell_length_b 6.958
_cell_length_c 7.023
_cell_angle_alpha 90.00
_cell_angle_beta 90.76
_cell_angle_gamma 90.00
loop_
_atom_site_label
_atom_site_fract_x
_atom_site_fract_y
_atom_site_fract_z
Ba1 0.000 0.000 0.000
Cu1 0.297 0.307 0.695
Cu2 0.310 0.313 0.311
Cu3 0.310 0.695 0.695
Te1 0.005 0.501 0.203
Te2 0.205 0.997 0.499
Te3 0.500 0.202 0.000
Te4 0.500 0.796 0.000
S1 0.500 0.507 0.500
```

=====

This entry pairs a crystal structure of Ba4Cu11Te8S2 with its theoretical XRD peak list. Radiation: Cu Kα (weighted mean of Kα1 and Kα2). Structure: DFT lattice parameters and positions (GGA-PBE).
Lines closer than 0.1° are merged.

Top 12 peaks for 10° ≤ 2θ ≤ 90°, in order of falling intensity:
2θ (°)  d (Å)  I/Imax
28.32  3.151  100
32.48  2.757  81
41.46  2.178  79
29.32  3.047  69
47.50  1.914  66
47.42  1.917  53
35.18  2.551  51
25.68  3.469  45
36.89  2.436  44
11.05  8.006  44
33.58  2.669  41
26.68  3.341  40

```
data_Ba4Cu11Te8S2
_chemical_formula_sum 'Ba4 Cu11 Te8 S2'
_symmetry_space_group_name_H-M 'P 1 m 1'
_symmetry_Int_Tables_number 6
_symmetry_space_group_name_Hall 'P -2y'
_cell_length_a 9.680
_cell_length_b 4.356
_cell_length_c 14.241
_cell_angle_alpha 90.00
_cell_angle_beta 90.02
_cell_angle_gamma 90.00
loop_
_atom_site_label
_atom_site_fract_x
_atom_site_fract_y
_atom_site_fract_z
Ba1 0.000 0.000 0.000
Ba2 0.047 0.000 0.324
Ba3 0.499 0.000 0.822
Ba4 0.547 0.000 0.507
Cu1 0.045 0.500 0.582
Cu2 0.132 0.000 0.758
Cu3 0.274 0.500 0.178
Cu4 0.274 0.500 0.677
Cu5 0.404 0.000 0.256
Cu6 0.498 0.500 0.074
Cu7 0.547 0.500 0.253
Cu8 0.641 0.000 0.072
Cu9 0.771 0.500 0.150
Cu10 0.777 0.500 0.660
Cu11 0.904 0.000 0.572
Te1 0.198 0.000 0.572
Te2 0.209 0.500 0.856
Te3 0.330 0.500 0.363
Te4 0.345 0.000 0.071
Te5 0.700 0.000 0.258
Te6 0.716 0.500 0.965
Te7 0.832 0.500 0.467
Te8 0.854 0.000 0.753
S1 0.022 0.500 0.164
S2 0.521 0.500 0.662
```

=====

This entry pairs a crystal structure of Ba2VCu3S6 with its theoretical XRD peak list. Radiation: Cu Kα (weighted mean of Kα1 and Kα2). Structure: DFT lattice parameters and positions (GGA-PBE).
Lines closer than 0.1° are merged.

Top 12 peaks for 10° ≤ 2θ ≤ 90°, in order of falling intensity:
2θ (°)  d (Å)  I/Imax
26.13  3.411  100
30.81  2.902  70
30.30  2.949  55
25.55  3.486  52
20.68  4.295  34
51.35  1.779  31
30.96  2.889  30
21.04  4.222  29
36.04  2.492  26
52.50  1.743  25
36.75  2.445  24
37.61  2.392  24

```
data_Ba2VCu3S6
_chemical_formula_sum 'Ba8 V4 Cu12 S24'
_symmetry_space_group_name_H-M 'C 1 2/c 1'
_symmetry_Int_Tables_number 15
_symmetry_space_group_name_Hall '-C 2yc'
_cell_length_a 15.215
_cell_length_b 8.982
_cell_length_c 10.759
_cell_angle_alpha 90.00
_cell_angle_beta 133.36
_cell_angle_gamma 90.00
loop_
_atom_site_label
_atom_site_fract_x
_atom_site_fract_y
_atom_site_fract_z
Ba1 0.180 0.035 0.056
V1 0.000 0.361 0.250
Cu1 0.000 0.334 0.750
Cu2 0.012 0.335 0.508
S1 0.116 0.500 0.482
S2 0.120 0.184 0.738
S3 0.122 0.226 0.257
```

=====

This entry pairs a crystal structure of Ba2YCu3S7 with its theoretical XRD peak list. Radiation: Cu Kα (weighted mean of Kα1 and Kα2). Structure: DFT lattice parameters and positions (GGA-PBE).
Lines closer than 0.1° are merged.

Top 12 peaks for 10° ≤ 2θ ≤ 90°, in order of falling intensity:
2θ (°)  d (Å)  I/Imax
27.87  3.201  100
27.56  3.236  82
27.02  3.300  76
38.12  2.361  56
33.83  2.650  46
47.88  1.900  44
40.60  2.222  42
48.45  1.879  41
56.91  1.618  30
49.44  1.843  29
39.04  2.307  25
55.71  1.650  17

```
data_Ba2YCu3S7
_chemical_formula_sum 'Ba2 Y1 Cu3 S7'
_symmetry_space_group_name_H-M 'P m m m'
_symmetry_Int_Tables_number 47
_symmetry_space_group_name_Hall '-P 2 2'
_cell_length_a 4.445
_cell_length_b 4.721
_cell_length_c 13.844
_cell_angle_alpha 90.00
_cell_angle_beta 90.00
_cell_angle_gamma 90.00
loop_
_atom_site_label
_atom_site_fract_x
_atom_site_fract_y
_atom_site_fract_z
Ba1 0.000 0.000 0.188
Y1 0.000 0.000 0.500
Cu1 0.500 0.500 0.000
Cu2 0.500 0.500 0.339
S1 0.000 0.500 0.379
S2 0.500 0.000 0.000
S3 0.500 0.000 0.371
S4 0.500 0.500 0.160
```

=====

This entry pairs a crystal structure of BaCuSb with its theoretical XRD peak list. Radiation: Cu Kα (weighted mean of Kα1 and Kα2). Structure: DFT lattice parameters and positions (GGA-PBE).
Lines closer than 0.1° are merged.

Top 12 peaks for 10° ≤ 2θ ≤ 90°, in order of falling intensity:
2θ (°)  d (Å)  I/Imax
29.03  3.076  100
38.89  2.316  46
55.14  1.666  32
49.25  1.850  23
64.47  1.445  20
37.51  2.397  17
62.56  1.485  11
82.64  1.168  10
89.00  1.100  9
70.43  1.337  8
24.05  3.700  6
76.17  1.250  6

```
data_BaCuSb
_chemical_formula_sum 'Ba2 Cu2 Sb2'
_symmetry_space_group_name_H-M 'P 63/m m c'
_symmetry_Int_Tables_number 194
_symmetry_space_group_name_Hall '-P 6c 2c'
_cell_length_a 4.6310
_cell_length_b 4.6310
_cell_length_c 9.5898
_cell_angle_alpha 90.00
_cell_angle_beta 90.00
_cell_angle_gamma 120.00
loop_
_atom_site_label
_atom_site_fract_x
_atom_site_fract_y
_atom_site_fract_z
Ba1 0.0000 0.0000 0.0000
Cu1 0.3333 0.6667 0.2500
Sb1 0.3333 0.6667 0.7500
```

=====

This entry pairs a crystal structure of BaScCu3Se4 with its theoretical XRD peak list. Radiation: Cu Kα (weighted mean of Kα1 and Kα2). Structure: DFT lattice parameters and positions (GGA-PBE).
Lines closer than 0.1° are merged.

Top 12 peaks for 10° ≤ 2θ ≤ 90°, in order of falling intensity:
2θ (°)  d (Å)  I/Imax
24.47  3.638  100
40.49  2.228  98
47.88  1.900  44
73.65  1.286  27
19.93  4.456  18
64.46  1.446  15
58.60  1.575  14
34.88  2.572  12
78.95  1.213  11
54.49  1.684  8
87.59  1.114  8
62.54  1.485  7

```
data_BaScCu3Se4
_chemical_formula_sum 'Ba1 Sc1 Cu3 Se4'
_symmetry_space_group_name_H-M 'P -4 3 m'
_symmetry_Int_Tables_number 215
_symmetry_space_group_name_Hall 'P -4 2 3'
_cell_length_a 6.301
_cell_length_b 6.301
_cell_length_c 6.301
_cell_angle_alpha 90.00
_cell_angle_beta 90.00
_cell_angle_gamma 90.00
loop_
_atom_site_label
_atom_site_fract_x
_atom_site_fract_y
_atom_site_fract_z
Ba1 0.000 0.000 0.000
Sc1 0.500 0.500 0.500
Cu1 0.000 0.500 0.500
Se1 0.274 0.274 0.726
```

=====

This entry pairs a crystal structure of BaCu2Se2 with its theoretical XRD peak list. Radiation: Cu Kα (weighted mean of Kα1 and Kα2). Structure: DFT lattice parameters and positions (GGA-PBE).
Lines closer than 0.1° are merged.

Top 12 peaks for 10° ≤ 2θ ≤ 90°, in order of falling intensity:
2θ (°)  d (Å)  I/Imax
29.90  2.989  100
33.96  2.640  61
44.48  2.037  43
54.52  1.683  36
52.35  1.748  33
40.74  2.215  23
73.95  1.282  16
87.82  1.112  15
31.04  2.881  15
41.63  2.170  14
64.72  1.440  13
61.89  1.499  13

```
data_BaCu2Se2
_chemical_formula_sum 'Ba2 Cu4 Se4'
_symmetry_space_group_name_H-M 'I 4/m m m'
_symmetry_Int_Tables_number 139
_symmetry_space_group_name_Hall '-I 4 2'
_cell_length_a 4.074
_cell_length_b 4.074
_cell_length_c 13.192
_cell_angle_alpha 90.00
_cell_angle_beta 90.00
_cell_angle_gamma 90.00
loop_
_atom_site_label
_atom_site_fract_x
_atom_site_fract_y
_atom_site_fract_z
Ba1 0.000 0.000 0.000
Cu1 0.000 0.500 0.250
Se1 0.000 0.000 0.363
```

=====

This entry pairs a crystal structure of BaCu2Se2 with its theoretical XRD peak list. Radiation: Cu Kα (weighted mean of Kα1 and Kα2). Structure: DFT lattice parameters and positions (GGA-PBE).
Lines closer than 0.1° are merged.

Top 12 peaks for 10° ≤ 2θ ≤ 90°, in order of falling intensity:
2θ (°)  d (Å)  I/Imax
29.28  3.050  100
33.88  2.646  73
32.40  2.764  44
42.76  2.115  35
34.29  2.615  31
54.65  1.679  19
55.92  1.644  15
46.52  1.952  14
50.90  1.794  14
41.01  2.201  14
40.56  2.224  12
58.51  1.578  11

```
data_BaCu2Se2
_chemical_formula_sum 'Ba4 Cu8 Se8'
_symmetry_space_group_name_H-M 'P n m a'
_symmetry_Int_Tables_number 62
_symmetry_space_group_name_Hall '-P 2ac 2n'
_cell_length_a 9.628
_cell_length_b 4.230
_cell_length_c 10.868
_cell_angle_alpha 90.00
_cell_angle_beta 90.00
_cell_angle_gamma 90.00
loop_
_atom_site_label
_atom_site_fract_x
_atom_site_fract_y
_atom_site_fract_z
Ba1 0.242 0.250 0.177
Cu1 0.056 0.250 0.888
Cu2 0.078 0.250 0.457
Se1 0.022 0.750 0.331
Se2 0.159 0.750 0.961
```

=====

This entry pairs a crystal structure of BaCu6Te6Se with its theoretical XRD peak list. Radiation: Cu Kα (weighted mean of Kα1 and Kα2). Structure: DFT lattice parameters and positions (GGA-PBE).
Lines closer than 0.1° are merged.

Top 12 peaks for 10° ≤ 2θ ≤ 90°, in order of falling intensity:
2θ (°)  d (Å)  I/Imax
28.30  3.154  100
28.53  3.129  70
31.15  2.872  39
46.85  1.939  25
46.46  1.955  25
31.35  2.853  24
28.79  3.101  23
48.39  1.881  19
49.00  1.859  19
47.95  1.897  19
48.55  1.875  19
31.55  2.835  19

```
data_BaCu6Te6Se
_chemical_formula_sum 'Ba1 Cu6 Te6 Se1'
_symmetry_space_group_name_H-M 'P 1 2 1'
_symmetry_Int_Tables_number 3
_symmetry_space_group_name_Hall 'P 2y'
_cell_length_a 6.973
_cell_length_b 7.000
_cell_length_c 7.070
_cell_angle_alpha 90.00
_cell_angle_beta 91.18
_cell_angle_gamma 90.00
loop_
_atom_site_label
_atom_site_fract_x
_atom_site_fract_y
_atom_site_fract_z
Ba1 0.000 0.000 0.000
Cu1 0.291 0.301 0.699
Cu2 0.300 0.702 0.704
Cu3 0.306 0.304 0.306
Te1 0.005 0.498 0.201
Te2 0.203 0.998 0.501
Te3 0.500 0.201 0.000
Te4 0.500 0.798 0.000
Se1 0.500 0.513 0.500
```

=====

This entry pairs a crystal structure of BaTlCu3Se4 with its theoretical XRD peak list. Radiation: Cu Kα (weighted mean of Kα1 and Kα2). Structure: DFT lattice parameters and positions (GGA-PBE).
Lines closer than 0.1° are merged.

Top 12 peaks for 10° ≤ 2θ ≤ 90°, in order of falling intensity:
2θ (°)  d (Å)  I/Imax
39.65  2.273  100
19.52  4.547  60
23.97  3.712  43
71.94  1.313  31
34.16  2.625  31
13.77  6.430  28
53.31  1.719  20
46.86  1.939  18
57.31  1.608  16
44.56  2.033  13
61.15  1.516  11
75.37  1.261  11

```
data_BaTlCu3Se4
_chemical_formula_sum 'Ba1 Tl1 Cu3 Se4'
_symmetry_space_group_name_H-M 'P -4 3 m'
_symmetry_Int_Tables_number 215
_symmetry_space_group_name_Hall 'P -4 2 3'
_cell_length_a 6.430
_cell_length_b 6.430
_cell_length_c 6.430
_cell_angle_alpha 90.00
_cell_angle_beta 90.00
_cell_angle_gamma 90.00
loop_
_atom_site_label
_atom_site_fract_x
_atom_site_fract_y
_atom_site_fract_z
Ba1 0.000 0.000 0.000
Tl1 0.500 0.500 0.500
Cu1 0.000 0.500 0.500
Se1 0.269 0.269 0.731
```

=====

This entry pairs a crystal structure of Ba2UCu2Se5 with its theoretical XRD peak list. Radiation: Cu Kα (weighted mean of Kα1 and Kα2). Structure: DFT lattice parameters and positions (GGA-PBE).
Lines closer than 0.1° are merged.

Top 12 peaks for 10° ≤ 2θ ≤ 90°, in order of falling intensity:
2θ (°)  d (Å)  I/Imax
30.47  2.934  100
28.30  3.154  56
41.33  2.185  46
42.61  2.122  39
35.32  2.541  30
34.44  2.604  28
13.91  6.366  25
51.51  1.774  23
29.33  3.046  21
25.58  3.482  16
18.87  4.703  14
50.84  1.796  14

```
data_Ba2UCu2Se5
_chemical_formula_sum 'Ba4 U2 Cu4 Se10'
_symmetry_space_group_name_H-M 'C 1 2/m 1'
_symmetry_Int_Tables_number 12
_symmetry_space_group_name_Hall '-C 2y'
_cell_length_a 14.160
_cell_length_b 4.244
_cell_length_c 9.769
_cell_angle_alpha 90.00
_cell_angle_beta 115.95
_cell_angle_gamma 90.00
loop_
_atom_site_label
_atom_site_fract_x
_atom_site_fract_y
_atom_site_fract_z
Ba1 0.174 0.000 0.201
U1 0.000 0.000 0.500
Cu1 0.053 0.500 0.791
Se1 0.000 0.500 0.000
Se2 0.115 0.500 0.439
Se3 0.148 0.000 0.808
```

=====

Repeat the first record exactly.
This entry pairs a crystal structure of BaCu2SnS4 with its theoretical XRD peak list. Radiation: Cu Kα (weighted mean of Kα1 and Kα2). Structure: DFT lattice parameters and positions (GGA-PBE).
Lines closer than 0.1° are merged.

Top 12 peaks for 10° ≤ 2θ ≤ 90°, in order of falling intensity:
2θ (°)  d (Å)  I/Imax
27.68  3.223  100
39.55  2.279  22
48.99  1.860  19
36.46  2.464  17
48.84  1.865  17
52.15  1.754  12
23.21  3.832  12
32.53  2.753  11
19.48  4.558  11
49.39  1.845  11
32.12  2.787  9
15.90  5.574  9

```
data_BaCu2SnS4
_chemical_formula_sum 'Ba3 Cu6 Sn3 S12'
_symmetry_space_group_name_H-M 'P 31 2 1'
_symmetry_Int_Tables_number 152
_symmetry_space_group_name_Hall 'P 31 2"'
_cell_length_a 6.4365
_cell_length_b 6.4365
_cell_length_c 15.8310
_cell_angle_alpha 90.00
_cell_angle_beta 90.00
_cell_angle_gamma 120.00
loop_
_atom_site_label
_atom_site_fract_x
_atom_site_fract_y
_atom_site_fract_z
Ba1 0.0000 0.5736 0.1667
Cu1 0.0641 0.6302 0.4119
Sn1 0.0000 0.7050 0.6667
S1 0.0604 0.5009 0.7869
S2 0.1133 0.3481 0.3308
```